Simulated PXRD pattern of La6CoIrRh2 for Cu Kα (λ = 1.5418 Å), from a cell relaxed with GGA-PBE.

Cell and atoms:
Unit cell a=7.1611 b=7.1708 c=7.7496 alpha=62.45 beta=62.49 gamma=60.05
Space group P1 (No. 1)
Inequivalent atoms, fractional coordinates:
La  0.0000  0.0000  0.0000 [1 per cell]
La  0.1529  0.8439  0.4957 [1 per cell]
La  0.3229  0.3527  0.9998 [1 per cell]
La  0.4894  0.1824  0.4962 [1 per cell]
La  0.6467  0.6761  0.0003 [1 per cell]
La  0.8275  0.5071  0.4959 [1 per cell]
Co  0.2346  0.5883  0.2637 [1 per cell]
Ir  0.7378  0.0909  0.7553 [1 per cell]
Rh  0.0744  0.4285  0.7439 [1 per cell]
Rh  0.5765  0.9304  0.2384 [1 per cell]

Main lines, sorted by position (10 to 90 degrees two-theta):
hkl  2theta  intensity
0 1 1  16.89  20
2 1 2  28.38  100
1 -1 2  37.18  71
3 3 2  43.75  48
2 1 -2  48.83  22
2 -2 1  52.98  17
4 2 4  58.73  18
1 5 1  71.03  9
3 3 6  73.77  20
4 5 5  75.98  9